The following is a computed XRD peak list of Th3Sb2Rh7. It was derived from a DFT-relaxed cell (GGA-PBE, Alexandria), using a wavelength of 1.5418 Å.
Intensities are scaled so that the largest is 100.

Top 12 peaks for 2θ from 5° to 70°, in order of rising 2θ:
| two_theta | I_rel | hkl |
| --- | --- | --- |
| 5.8 | 53 | 0 0 1 |
| 26.0 | 39 | 1 0 2 |
| 29.3 | 26 | 0 0 5 |
| 31.0 | 31 | 1 1 -1 |
| 34.3 | 100 | 1 1 -3 |
| 37.3 | 73 | 1 1 3 |
| 41.0 | 36 | 1 1 4 |
| 41.5 | 26 | 0 0 7 |
| 43.8 | 41 | 2 0 -1 |
| 44.6 | 39 | 0 2 0 |
| 45.3 | 49 | 1 1 -6 |
| 64.3 | 26 | 2 2 -1 |

Crystal structure
Lattice parameters (Å, degrees): 4.1358 4.0607 15.3834 90.00 97.64 90.00
Atoms (fractional coordinates):
Th (0.0000, 0.0000, 0.0000)
Th (0.2034, 0.0000, 0.4042)
Th (0.7966, 0.0000, 0.5958)
Sb (0.4119, 0.5000, 0.8292)
Sb (0.5881, 0.5000, 0.1708)
Rh (0.1397, 0.5000, 0.2748)
Rh (0.2868, 0.5000, 0.5762)
Rh (0.3590, 0.0000, 0.7228)
Rh (0.5000, 0.5000, 0.0000)
Rh (0.6410, 0.0000, 0.2772)
Rh (0.7132, 0.5000, 0.4238)
Rh (0.8603, 0.5000, 0.7252)